[1]
Starting from the PBE geometry in Alexandria, the X-ray powder pattern of Li2Pd2F7 was computed for Cu Kα X-rays.
Lines closer than 0.1° are merged.

Main lines, most intense first (2θ from 10° to 80°):
index	two_theta	Rel. int.
1 1 1	28.6	100.0
1 1 -1	19.9	92.0
0 2 0	18.9	82.6
1 1 0	17.2	76.3
2 0 -1	27.0	46.9
3 1 -2	45.0	30.4

Atomic structure:
```
data_Li2Pd2F7
_space_group_name_H-M_alt 'C 1 2/m 1'
_space_group_IT_number 12
_space_group_name_Hall '-C 2y'
_cell_length_a 6.7490
_cell_length_b 9.4016
_cell_length_c 5.5705
_cell_angle_alpha 90.00
_cell_angle_beta 114.07
_cell_angle_gamma 90.00
loop_
_atom_site_label
_atom_site_type_symbol
_atom_site_fract_x
_atom_site_fract_y
_atom_site_fract_z
Li1 Li 0.0000 0.1634 0.0000
Pd1 Pd 0.1546 0.5000 0.2537
F1 F 0.0000 0.5000 0.5000
F2 F 0.1484 0.0000 0.9276
F3 F 0.1671 0.2931 0.2533
```

---

[2]
Starting from the PBE geometry in Alexandria, the X-ray powder pattern of LiPm2F7 was computed for Cu Kα X-rays.
Lines closer than 0.1° are merged.

Main lines, most intense first (2θ from 10° to 80°):
index	two_theta	Rel. int.
0 0 6	17.1	100.0
1 0 1	25.4	98.0
1 1 0	44.5	59.3
0 1 2	25.9	44.0
0 1 14	48.3	41.3
1 1 6	48.0	41.2

Atomic structure:
```
data_LiPm2F7
_space_group_name_H-M_alt 'R -3 m'
_space_group_IT_number 166
_space_group_name_Hall '-R 3 2"'
_cell_length_a 4.0748
_cell_length_b 4.0748
_cell_length_c 31.1613
_cell_angle_alpha 90.00
_cell_angle_beta 90.00
_cell_angle_gamma 120.00
loop_
_atom_site_label
_atom_site_type_symbol
_atom_site_fract_x
_atom_site_fract_y
_atom_site_fract_z
Li1 Li 0.0000 0.0000 0.0000
Pm1 Pm 0.0000 0.0000 0.4264
F1 F 0.0000 0.0000 0.0732
F2 F 0.0000 0.0000 0.2249
F3 F 0.0000 0.0000 0.3561
F4 F 0.0000 0.0000 0.5000
```

---

[3]
Starting from the PBE geometry in Alexandria, the X-ray powder pattern of Li6Pm4F19 was computed for Cu Kα X-rays.
Lines closer than 0.1° are merged.

Main lines, most intense first (2θ from 10° to 80°):
index	two_theta	Rel. int.
2 1 1	25.2	100.0
3 3 0	44.4	98.4
2 0 0	20.5	28.4
6 0 0	64.5	17.4
1 1 0	14.5	16.0
4 2 2	51.7	14.9

Atomic structure:
```
data_Li6Pm4F19
_space_group_name_H-M_alt 'I 2 3'
_space_group_IT_number 197
_space_group_name_Hall 'I 2 2 3'
_cell_length_a 8.6647
_cell_length_b 8.6647
_cell_length_c 8.6647
_cell_angle_alpha 90.00
_cell_angle_beta 90.00
_cell_angle_gamma 90.00
loop_
_atom_site_label
_atom_site_type_symbol
_atom_site_fract_x
_atom_site_fract_y
_atom_site_fract_z
Li1 Li 0.0000 0.1619 0.5000
Pm1 Pm 0.1716 0.1716 0.1716
F1 F 0.0000 0.0000 0.0000
F2 F 0.0000 0.0000 0.3164
F3 F 0.0569 0.2869 0.6917
```

---

[4]
Starting from the PBE geometry in Alexandria, the X-ray powder pattern of LiPmZnF6 was computed for Cu Kα X-rays.
Lines closer than 0.1° are merged.

Main lines, most intense first (2θ from 10° to 80°):
index	two_theta	Rel. int.
1 1 0	25.1	100.0
1 0 1	19.8	85.0
2 1 3	49.1	71.0
1 0 3	32.4	62.8
1 1 2	31.0	32.9
2 1 1	41.3	29.2

Atomic structure:
```
data_LiPmZnF6
_space_group_name_H-M_alt 'P 42 n m'
_space_group_IT_number 102
_space_group_name_Hall 'P 4n -2n'
_cell_length_a 5.0156
_cell_length_b 5.0156
_cell_length_c 9.9198
_cell_angle_alpha 90.00
_cell_angle_beta 90.00
_cell_angle_gamma 90.00
loop_
_atom_site_label
_atom_site_type_symbol
_atom_site_fract_x
_atom_site_fract_y
_atom_site_fract_z
Li1 Li 0.0000 0.0000 0.0000
Pm1 Pm 0.0000 0.0000 0.6631
Zn1 Zn 0.0000 0.0000 0.3291
F1 F 0.1809 0.1809 0.1646
F2 F 0.2017 0.2017 0.4833
F3 F 0.2099 0.2099 0.8363
```

---

[5]
Starting from the PBE geometry in Alexandria, the X-ray powder pattern of LiPrF4 was computed for Cu Kα X-rays.
Lines closer than 0.1° are merged.

Main lines, most intense first (2θ from 10° to 80°):
index	two_theta	Rel. int.
0 0 1	15.0	100.0
1 1 1	30.2	62.6
1 1 2	40.3	43.3
0 2 0	24.5	37.6
2 0 0	46.9	36.6
1 1 0	26.1	36.6

Atomic structure:
```
data_LiPrF4
_space_group_name_H-M_alt 'P m m n'
_space_group_IT_number 59
_cell_length_a 3.8750
_cell_length_b 7.2539
_cell_length_c 5.9212
_cell_angle_alpha 90.00
_cell_angle_beta 90.00
_cell_angle_gamma 90.00
loop_
_space_group_symop_operation_xyz
'x,y,z'
'-x,-y,-z'
'-x+1/2,-y+1/2,z'
'x+1/2,y+1/2,-z'
'x+1/2,-y,-z'
'-x+1/2,y,z'
'-x,y+1/2,-z'
'x,-y+1/2,z'
loop_
_atom_site_label
_atom_site_type_symbol
_atom_site_fract_x
_atom_site_fract_y
_atom_site_fract_z
Li1 Li 0.2500 0.2500 0.0679
Pr1 Pr 0.2500 0.7500 0.4906
F1 F 0.2500 0.0639 0.3531
F2 F 0.2500 0.2500 0.7495
F3 F 0.2500 0.7500 0.8828
```

---

[6]
Starting from the PBE geometry in Alexandria, the X-ray powder pattern of LiPrTl2F6 was computed for Cu Kα X-rays.
Lines closer than 0.1° are merged.

Main lines, most intense first (2θ from 10° to 80°):
index	two_theta	Rel. int.
2 0 0	28.5	100.0
3 1 2	50.5	42.9
2 2 0	40.8	32.9
2 0 2	35.1	20.8
1 1 0	20.1	19.4
4 0 0	59.1	17.8

Atomic structure:
```
data_LiPrTl2F6
_space_group_name_H-M_alt 'I m m m'
_space_group_IT_number 71
_space_group_name_Hall '-I 2 2'
_cell_length_a 6.2527
_cell_length_b 6.2700
_cell_length_c 8.8470
_cell_angle_alpha 90.00
_cell_angle_beta 90.00
_cell_angle_gamma 90.00
loop_
_atom_site_label
_atom_site_type_symbol
_atom_site_fract_x
_atom_site_fract_y
_atom_site_fract_z
Li1 Li 0.0000 0.0000 0.0000
Pr1 Pr 0.0000 0.0000 0.5000
Tl1 Tl 0.0000 0.5000 0.2512
F1 F 0.0000 0.0000 0.2394
F2 F 0.2402 0.2387 0.0000
```

---

[7]
Starting from the PBE geometry in Alexandria, the X-ray powder pattern of Li4PtF8 was computed for Cu Kα X-rays.
Lines closer than 0.1° are merged.

Main lines, most intense first (2θ from 10° to 80°):
index	two_theta	Rel. int.
1 1 1	17.9	100.0
3 1 1	34.7	78.1
2 0 0	20.7	73.5
2 2 0	29.4	62.5
3 3 1	46.1	41.7
5 1 1	55.6	34.6

Atomic structure:
```
data_Li4PtF8
_space_group_name_H-M_alt 'F -4 3 m'
_space_group_IT_number 216
_space_group_name_Hall 'F -4 2 3'
_cell_length_a 8.5850
_cell_length_b 8.5850
_cell_length_c 8.5850
_cell_angle_alpha 90.00
_cell_angle_beta 90.00
_cell_angle_gamma 90.00
loop_
_atom_site_label
_atom_site_type_symbol
_atom_site_fract_x
_atom_site_fract_y
_atom_site_fract_z
Li1 Li 0.1174 0.1174 0.1174
Pt1 Pt 0.0000 0.0000 0.5000
F1 F 0.1099 0.1099 0.8901
F2 F 0.1377 0.1377 0.3623
```

---

[8]
Starting from the PBE geometry in Alexandria, the X-ray powder pattern of LiPtF4 was computed for Cu Kα X-rays.
Lines closer than 0.1° are merged.

Main lines, most intense first (2θ from 10° to 80°):
index	two_theta	Rel. int.
1 1 1	19.0	100.0
2 2 0	25.0	66.6
1 3 1	31.3	29.8
3 1 1	31.8	28.6
4 2 2	50.4	23.4
2 4 2	49.9	20.5

Atomic structure:
```
data_LiPtF4
_space_group_name_H-M_alt 'F d d 2'
_space_group_IT_number 43
_space_group_name_Hall 'F 2 -2d'
_cell_length_a 9.9730
_cell_length_b 10.2116
_cell_length_c 6.1596
_cell_angle_alpha 90.00
_cell_angle_beta 90.00
_cell_angle_gamma 90.00
loop_
_atom_site_label
_atom_site_type_symbol
_atom_site_fract_x
_atom_site_fract_y
_atom_site_fract_z
Li1 Li 0.0000 0.0000 0.0000
Pt1 Pt 0.0000 0.0000 0.4844
F1 F 0.0991 0.0810 0.7366
F2 F 0.1016 0.0865 0.2445
```

---

[9]
Starting from the PBE geometry in Alexandria, the X-ray powder pattern of LiPtF4 was computed for Cu Kα X-rays.
Lines closer than 0.1° are merged.

Main lines, most intense first (2θ from 10° to 80°):
index	two_theta	Rel. int.
1 0 1	23.1	100.0
0 0 2	36.9	49.1
1 1 0	20.0	43.7
3 2 1	56.0	23.5
3 0 1	47.2	22.3
2 0 0	28.4	18.9

Atomic structure:
```
data_LiPtF4
_space_group_name_H-M_alt 'I -4'
_space_group_IT_number 82
_space_group_name_Hall 'I -4'
_cell_length_a 6.2839
_cell_length_b 6.2839
_cell_length_c 4.8769
_cell_angle_alpha 90.00
_cell_angle_beta 90.00
_cell_angle_gamma 90.00
loop_
_atom_site_label
_atom_site_type_symbol
_atom_site_fract_x
_atom_site_fract_y
_atom_site_fract_z
Li1 Li 0.0000 0.0000 0.0000
Pt1 Pt 0.0000 0.5000 0.2500
F1 F 0.1055 0.2107 0.2456
```

---

[10]
Starting from the PBE geometry in Alexandria, the X-ray powder pattern of RbLi2PtF8 was computed for Cu Kα X-rays.
Lines closer than 0.1° are merged.

Main lines, most intense first (2θ from 10° to 80°):
index	two_theta	Rel. int.
1 0 0	18.6	100.0
1 1 0	24.1	95.0
0 1 0	18.2	90.4
0 0 1	12.1	63.4
0 0 2	24.4	61.8
1 -1 2	36.9	48.9

Atomic structure:
```
data_RbLi2PtF8
_space_group_name_H-M_alt 'P -1'
_space_group_IT_number 2
_space_group_name_Hall '-P 1'
_cell_length_a 4.9405
_cell_length_b 4.9990
_cell_length_c 7.5385
_cell_angle_alpha 80.15
_cell_angle_beta 77.57
_cell_angle_gamma 79.51
loop_
_atom_site_label
_atom_site_type_symbol
_atom_site_fract_x
_atom_site_fract_y
_atom_site_fract_z
Rb1 Rb 0.0000 0.0000 0.0000
Li1 Li 0.4498 0.4639 0.2292
Pt1 Pt 0.0000 0.0000 0.5000
F1 F 0.2089 0.7737 0.6794
F2 F 0.2334 0.2851 0.4671
F3 F 0.2728 0.8345 0.3012
F4 F 0.2932 0.4365 0.0130
```

---

[11]
Starting from the PBE geometry in Alexandria, the X-ray powder pattern of LiTlPtF6 was computed for Cu Kα X-rays.
Lines closer than 0.1° are merged.

Main lines, most intense first (2θ from 10° to 80°):
index	two_theta	Rel. int.
1 0 2	24.0	100.0
1 0 1	20.3	45.2
1 1 4	44.8	40.0
1 1 0	33.2	27.3
2 1 2	54.1	21.7
2 0 2	41.4	21.7

Atomic structure:
```
data_LiTlPtF6
_space_group_name_H-M_alt 'P -3 1 c'
_space_group_IT_number 163
_space_group_name_Hall '-P 3 2c'
_cell_length_a 5.3950
_cell_length_b 5.3950
_cell_length_c 12.2191
_cell_angle_alpha 90.00
_cell_angle_beta 90.00
_cell_angle_gamma 120.00
loop_
_atom_site_label
_atom_site_type_symbol
_atom_site_fract_x
_atom_site_fract_y
_atom_site_fract_z
Li1 Li 0.3333 0.6667 0.2500
Tl1 Tl 0.0000 0.0000 0.0000
Pt1 Pt 0.3333 0.6667 0.7500
F1 F 0.0177 0.3722 0.6603
```

---

[12]
Starting from the PBE geometry in Alexandria, the X-ray powder pattern of LiPu2F4 was computed for Cu Kα X-rays.
Lines closer than 0.1° are merged.

Main lines, most intense first (2θ from 10° to 80°):
index	two_theta	Rel. int.
1 1 -1	23.1	100.0
0 0 2	25.4	54.0
1 1 1	29.3	39.1
1 1 -2	29.4	37.1
0 2 0	35.1	24.7
2 0 -1	27.7	22.0

Atomic structure:
```
data_LiPu2F4
_space_group_name_H-M_alt 'P 1 21/m 1'
_space_group_IT_number 11
_space_group_name_Hall '-P 2yb'
_cell_length_a 6.4441
_cell_length_b 5.1191
_cell_length_c 7.6981
_cell_angle_alpha 90.00
_cell_angle_beta 114.21
_cell_angle_gamma 90.00
loop_
_atom_site_label
_atom_site_type_symbol
_atom_site_fract_x
_atom_site_fract_y
_atom_site_fract_z
Li1 Li 0.1185 0.2500 0.4990
Pu1 Pu 0.1712 0.7500 0.2326
Pu2 Pu 0.4372 0.7500 0.7630
F1 F 0.0946 0.9998 0.6880
F2 F 0.1446 0.2500 0.0893
F3 F 0.4467 0.7500 0.0884
```